1.
This entry pairs a crystal structure of CeInBRh4 with its computed powder X-ray diffraction pattern. Radiation: CuKα. Structure: a structure optimized by DFT (PBE).
Kinematic intensities with the Lorentz-polarization factor, no thermal factor.

```
data_CeInBRh4
_symmetry_space_group_name_H-M 'C m c m'
_symmetry_Int_Tables_number 63
_symmetry_space_group_name_Hall '-C 2c 2'
_cell_length_a 5.8675
_cell_length_b 13.5677
_cell_length_c 5.8912
_cell_angle_alpha 90.00
_cell_angle_beta 90.00
_cell_angle_gamma 90.00
loop_
_atom_site_label
_atom_site_type_symbol
_atom_site_fract_x
_atom_site_fract_y
_atom_site_fract_z
Ce1 Ce 0.0000 0.0833 0.2500
In1 In 0.0000 0.3918 0.2500
B1 B 0.0000 0.2582 0.7500
Rh1 Rh 0.0000 0.0982 0.7500
Rh2 Rh 0.0000 0.4098 0.7500
Rh3 Rh 0.2500 0.2500 0.0000
```

Top 8 peaks for 10 to 80 degrees two-theta, in order of rising 2θ:
(hkl), d (Å), I/Imax
0 0 2, 2.945, 17
0 2 2, 2.702, 44
2 2 0, 2.693, 44
0 6 0, 2.261, 36
2 4 0, 2.221, 100
2 0 2, 2.079, 71
2 6 2, 1.530, 41
2 10 0, 1.232, 17

=====

2.
This entry pairs a crystal structure of Dy2HoTm6Sc with its computed powder X-ray diffraction pattern. Radiation: CuKα. Structure: a structure optimized by DFT (PBE).
Kinematic intensities with the Lorentz-polarization factor, no thermal factor.

```
data_Dy2HoTm6Sc
_symmetry_space_group_name_H-M 'C 1 2/c 1'
_symmetry_Int_Tables_number 15
_cell_length_a 8.8990
_cell_length_b 14.6546
_cell_length_c 9.3433
_cell_angle_alpha 90.00
_cell_angle_beta 97.81
_cell_angle_gamma 90.00
loop_
_symmetry_equiv_pos_as_xyz
'x,y,z'
'-x,-y,-z'
'-x,y,-z+1/2'
'x,-y,z+1/2'
'x+1/2,y+1/2,z'
'-x+1/2,-y+1/2,-z'
'-x+1/2,y+1/2,-z+1/2'
'x+1/2,-y+1/2,z+1/2'
loop_
_atom_site_label
_atom_site_type_symbol
_atom_site_fract_x
_atom_site_fract_y
_atom_site_fract_z
Dy1 Dy 0.2486 0.0522 0.4533
Ho1 Ho 0.0000 0.4786 0.2500
Tm1 Tm 0.0609 0.3114 0.9429
Tm2 Tm 0.1017 0.1062 0.1165
Tm3 Tm 0.2107 0.2787 0.3111
Sc1 Sc 0.0000 0.0884 0.7500
```

Top 8 peaks for 10 to 80 degrees two-theta, in order of rising 2θ:
(hkl), d (Å), I/Imax
1 3 2, 3.041, 63
3 1 -1, 2.862, 88
0 2 3, 2.844, 61
1 5 0, 2.781, 63
2 2 2, 2.773, 100
2 4 -1, 2.763, 52
1 5 -1, 2.696, 32
1 3 -3, 2.584, 63

=====

3.
This entry pairs a crystal structure of Er5Bi2AuC with its computed powder X-ray diffraction pattern. Radiation: CuKα. Structure: a structure optimized by DFT (PBE).
Kinematic intensities with the Lorentz-polarization factor, no thermal factor.

```
data_Er5Bi2AuC
_symmetry_space_group_name_H-M 'P 4/m m m'
_symmetry_Int_Tables_number 123
_symmetry_space_group_name_Hall '-P 4 2'
_cell_length_a 4.6732
_cell_length_b 4.6732
_cell_length_c 10.8492
_cell_angle_alpha 90.00
_cell_angle_beta 90.00
_cell_angle_gamma 90.00
loop_
_atom_site_label
_atom_site_type_symbol
_atom_site_fract_x
_atom_site_fract_y
_atom_site_fract_z
Er1 Er 0.0000 0.0000 0.0000
Er2 Er 0.0000 0.5000 0.5000
Er3 Er 0.5000 0.5000 0.2618
Bi1 Bi 0.0000 0.0000 0.2888
Au1 Au 0.5000 0.5000 0.0000
C1 C 0.5000 0.5000 0.5000
```

Top 8 peaks for 10 to 80 degrees two-theta, in order of rising 2θ:
(hkl), d (Å), I/Imax
1 1 0, 3.304, 65
1 1 1, 3.161, 59
1 1 2, 2.822, 59
0 0 4, 2.712, 49
1 1 3, 2.439, 100
2 0 0, 2.337, 87
2 0 4, 1.770, 56
3 1 3, 1.368, 35

=====

4.
This entry pairs a crystal structure of Sr10P6SO24 with its computed powder X-ray diffraction pattern. Radiation: CuKα. Structure: a structure optimized by DFT (PBE).
Kinematic intensities with the Lorentz-polarization factor, no thermal factor.

```
data_Sr10P6SO24
_symmetry_space_group_name_H-M 'P -3'
_symmetry_Int_Tables_number 147
_cell_length_a 9.9296
_cell_length_b 9.9296
_cell_length_c 7.2846
_cell_angle_alpha 90.00
_cell_angle_beta 90.00
_cell_angle_gamma 120.00
loop_
_symmetry_equiv_pos_as_xyz
'x,y,z'
'-x,-y,-z'
'-y,x-y,z'
'y,-x+y,-z'
'-x+y,-x,z'
'x-y,x,-z'
loop_
_atom_site_label
_atom_site_type_symbol
_atom_site_fract_x
_atom_site_fract_y
_atom_site_fract_z
Sr1 Sr 0.0114 0.2572 0.2592
Sr2 Sr 0.3333 0.6667 0.0210
Sr3 Sr 0.3333 0.6667 0.5188
P1 P 0.0289 0.3980 0.7530
S1 S 0.0000 0.0000 0.5000
O1 O 0.0649 0.3098 0.9047
O2 O 0.0992 0.3811 0.5694
O3 O 0.1125 0.5762 0.7949
O4 O 0.1503 0.6711 0.2608
```

Top 8 peaks for 10 to 80 degrees two-theta, in order of rising 2θ:
(hkl), d (Å), I/Imax
2 1 0, 3.250, 31
2 1 1, 2.968, 100
1 1 2, 2.937, 94
3 0 0, 2.866, 58
4 -2 2, 2.051, 38
3 -2 3, 1.945, 34
5 -3 1, 1.904, 23
4 0 2, 1.851, 24

=====

5.
This entry pairs a crystal structure of CuReNi6 with its computed powder X-ray diffraction pattern. Radiation: CuKα. Structure: a structure optimized by DFT (PBE).
Kinematic intensities with the Lorentz-polarization factor, no thermal factor.

```
data_CuReNi6
_symmetry_space_group_name_H-M 'C m m m'
_symmetry_Int_Tables_number 65
_symmetry_space_group_name_Hall '-C 2 2'
_cell_length_a 7.1659
_cell_length_b 10.1062
_cell_length_c 10.1312
_cell_angle_alpha 90.00
_cell_angle_beta 90.00
_cell_angle_gamma 90.00
loop_
_atom_site_label
_atom_site_type_symbol
_atom_site_fract_x
_atom_site_fract_y
_atom_site_fract_z
Cu1 Cu 0.0000 0.0000 0.2477
Cu2 Cu 0.0000 0.2483 0.0000
Re1 Re 0.0000 0.2511 0.5000
Re2 Re 0.0000 0.5000 0.2397
Ni1 Ni 0.0000 0.0000 0.0000
Ni2 Ni 0.0000 0.0000 0.5000
Ni3 Ni 0.0000 0.2511 0.2524
Ni4 Ni 0.0000 0.5000 0.0000
Ni5 Ni 0.0000 0.5000 0.5000
Ni6 Ni 0.2483 0.3746 0.3761
Ni7 Ni 0.2483 0.3756 0.1258
```

Top 8 peaks for 10 to 80 degrees two-theta, in order of rising 2θ:
(hkl), d (Å), I/Imax
1 1 0, 5.846, 6
2 0 0, 3.579, 12
0 4 0, 2.531, 10
2 4 0, 2.067, 100
4 0 0, 1.790, 47
4 2 2, 1.601, 4
4 4 4, 1.266, 23
0 8 0, 1.263, 5

=====

6.
This entry pairs a crystal structure of Cs6Rb9P with its computed powder X-ray diffraction pattern. Radiation: CuKα. Structure: a structure optimized by DFT (PBE).
Kinematic intensities with the Lorentz-polarization factor, no thermal factor.

```
data_Cs6Rb9P
_symmetry_space_group_name_H-M 'I 4/m'
_symmetry_Int_Tables_number 87
_symmetry_space_group_name_Hall '-I 4'
_cell_length_a 11.5450
_cell_length_b 11.5450
_cell_length_c 22.1264
_cell_angle_alpha 90.00
_cell_angle_beta 90.00
_cell_angle_gamma 90.00
loop_
_atom_site_label
_atom_site_type_symbol
_atom_site_fract_x
_atom_site_fract_y
_atom_site_fract_z
Cs1 Cs 0.0000 0.0000 0.1537
Cs2 Cs 0.0924 0.7186 0.0000
Rb1 Rb 0.0000 0.0000 0.5000
Rb2 Rb 0.0852 0.7068 0.3281
P1 P 0.0000 0.0000 0.0000
```

Top 8 peaks for 10 to 80 degrees two-theta, in order of rising 2θ:
(hkl), d (Å), I/Imax
1 2 3, 4.230, 100
0 0 6, 3.688, 19
3 1 0, 3.651, 37
3 1 6, 2.594, 28
2 4 0, 2.582, 14
1 2 9, 2.220, 16
5 0 3, 2.204, 32
2 4 6, 2.115, 15

=====

7.
This entry pairs a crystal structure of Nd2Dy8Y3 with its computed powder X-ray diffraction pattern. Radiation: CuKα. Structure: a structure optimized by DFT (PBE).
Kinematic intensities with the Lorentz-polarization factor, no thermal factor.

```
data_Nd2Dy8Y3
_symmetry_space_group_name_H-M 'C 1 2/m 1'
_symmetry_Int_Tables_number 12
_cell_length_a 20.7530
_cell_length_b 7.6282
_cell_length_c 5.5674
_cell_angle_alpha 90.00
_cell_angle_beta 90.02
_cell_angle_gamma 90.00
loop_
_symmetry_equiv_pos_as_xyz
'x,y,z'
'-x,-y,-z'
'-x,y,-z'
'x,-y,z'
'x+1/2,y+1/2,z'
'-x+1/2,-y+1/2,-z'
'-x+1/2,y+1/2,-z'
'x+1/2,-y+1/2,z'
loop_
_atom_site_label
_atom_site_type_symbol
_atom_site_fract_x
_atom_site_fract_y
_atom_site_fract_z
Nd1 Nd 0.2409 0.0000 0.4994
Dy1 Dy 0.1070 0.2879 0.5001
Dy2 Dy 0.1298 0.0000 0.9997
Dy3 Dy 0.1628 0.5000 0.0004
Y1 Y 0.0000 0.0000 0.5000
Y2 Y 0.0000 0.2859 0.0000
```

Top 8 peaks for 10 to 80 degrees two-theta, in order of rising 2θ:
(hkl), d (Å), I/Imax
4 0 0, 5.188, 14
2 2 0, 3.580, 19
0 2 1, 3.147, 14
5 1 1, 3.050, 27
6 0 -1, 2.938, 34
0 0 2, 2.784, 39
4 2 1, 2.690, 100
4 2 -3, 1.589, 20

=====

8.
This entry pairs a crystal structure of Er3SeCl7 with its computed powder X-ray diffraction pattern. Radiation: CuKα. Structure: a structure optimized by DFT (PBE).
Kinematic intensities with the Lorentz-polarization factor, no thermal factor.

```
data_Er3SeCl7
_symmetry_space_group_name_H-M 'C 1 m 1'
_symmetry_Int_Tables_number 8
_cell_length_a 13.3983
_cell_length_b 7.9886
_cell_length_c 9.6193
_cell_angle_alpha 90.00
_cell_angle_beta 133.99
_cell_angle_gamma 90.00
loop_
_symmetry_equiv_pos_as_xyz
'x,y,z'
'x,-y,z'
'x+1/2,y+1/2,z'
'x+1/2,-y+1/2,z'
loop_
_atom_site_label
_atom_site_type_symbol
_atom_site_fract_x
_atom_site_fract_y
_atom_site_fract_z
Er1 Er 0.0000 0.0000 0.0000
Er2 Er 0.2587 0.2576 0.5150
Se1 Se 0.2197 0.5000 0.6765
Cl1 Cl 0.0263 0.2326 0.8320
Cl2 Cl 0.2303 0.0000 0.6556
Cl3 Cl 0.2841 0.0000 0.3417
Cl4 Cl 0.2937 0.5000 0.3654
Cl5 Cl 0.4959 0.2659 0.1885
```

Top 8 peaks for 10 to 80 degrees two-theta, in order of rising 2θ:
(hkl), d (Å), I/Imax
2 0 -1, 6.699, 100
1 1 -1, 6.147, 41
0 2 1, 3.460, 21
2 2 -2, 3.074, 85
4 0 0, 2.406, 63
0 4 0, 1.997, 27
6 2 -2, 1.877, 20
2 0 -5, 1.675, 18

=====

Q: Which formula does entry 5 have?
A: CuReNi6